For Sr3Np3WN8, DFT lattice parameters and positions (PBE) gives the theoretical powder XRD pattern in this record (copper Kα).
No peak broadening, texture or thermal motion is included.

Crystal structure
abc: 7.178 7.178 7.178
angles: 56.69 56.69 56.69
Positions (direct):
Sr 0.000 0.500 0.500
Sr 0.500 0.000 0.500
Sr 0.500 0.500 0.000
Np 0.000 0.000 0.500
Np 0.000 0.500 0.000
Np 0.500 0.000 0.000
W 0.500 0.500 0.500
N 0.236 0.236 0.236
N 0.254 0.715 0.715
N 0.285 0.285 0.746
N 0.285 0.746 0.285
N 0.715 0.254 0.715
N 0.715 0.715 0.254
N 0.746 0.285 0.285
N 0.764 0.764 0.764

Top 10 peaks for 2θ from 10° to 80°, in order of falling intensity:
| 2θ/deg | intensity |
| --- | --- |
| 36.4 | 100 |
| 31.9 | 100 |
| 14.8 | 82 |
| 29.8 | 42 |
| 30.7 | 36 |
| 51.0 | 36 |
| 62.7 | 33 |
| 53.8 | 33 |
| 60.2 | 20 |
| 66.7 | 17 |